Calculated powder diffraction line list of BaAl12Ag7 for Cu Ka, from a DFT-relaxed cell (PBE, Alexandria).
No peak broadening, texture or thermal motion is included.

Top 10 peaks for 2θ from 15° to 90°, by angle:
| 2θ (°) | Rel. int. | hkl |
| --- | --- | --- |
| 19.57 | 42 | 0 2 1 |
| 23.53 | 64 | 2 1 1 |
| 32.34 | 100 | 1 2 2 |
| 32.77 | 23 | 4 0 1 |
| 34.65 | 23 | 4 1 0 |
| 38.37 | 24 | 0 0 3 |
| 39.47 | 97 | 3 3 0 |
| 39.75 | 43 | 0 4 2 |
| 46.14 | 30 | 5 0 2 |
| 56.21 | 33 | 3 3 3 |

Crystal structure
a = 13.6982 Å, b = 13.6982 Å, c = 7.0371 Å
α = 90.00°, β = 90.00°, γ = 120.00°
Space group R-3m (No. 166, hexagonal axes)
One atom of each set of equivalent atoms:
Ba: 0.0000 0.0000 0.0000 (multiplicity 3)
Al: 0.0000 0.2587 0.0000 (multiplicity 18)
Al: 0.1105 0.5552 0.9859 (multiplicity 18)
Ag: 0.0000 0.0000 0.5000 (multiplicity 3)
Ag: 0.1000 0.5500 0.3701 (multiplicity 18)